Record 1
CsGeI3: simulated powder X-ray diffraction pattern (Cu Kα (λ = 1.5418 Å)), based on a DFT-relaxed cell (GGA-PBE, the Materials Project).
Intensities are scaled so that the largest is 100.

Principal peaks in the range 10° ≤ 2θ ≤ 90°, low angle first:
2theta, d [Å], I (rel.)
24.71, 3.603, 82
24.94, 3.570, 45
25.82, 3.451, 39
28.56, 3.125, 100
29.86, 2.992, 48
39.95, 2.257, 18
41.22, 2.190, 34
42.36, 2.134, 35
49.59, 1.838, 20
50.67, 1.802, 18

Cell and atoms:
```
5
Lattice="4.3346 -4.5133 0.0000 4.3346 4.5133 0.0000 -0.2147 0.0000 5.9848" Properties=species:S:1:pos:R:3 pbc="T T T"
Cs 0.0000 0.0000 0.0000
Ge 4.6191 0.0000 2.7966
I 3.9964 0.0000 5.9354
I 6.4964 2.0323 2.9079
I 6.4964 -2.0323 2.9079
```

---

Record 2
SiO2: simulated powder X-ray diffraction pattern (Cu Kα (λ = 1.5418 Å)), based on a DFT-relaxed cell (GGA-PBE, the Materials Project).
Intensities are scaled so that the largest is 100.

Principal peaks in the range 10° ≤ 2θ ≤ 90°, low angle first:
2theta, d [Å], I (rel.)
10.01, 8.837, 21
12.23, 7.238, 100
14.12, 6.271, 65
15.77, 5.618, 12
15.85, 5.591, 5
18.72, 4.740, 47
24.57, 3.623, 8
27.44, 3.250, 6
27.61, 3.230, 7
34.17, 2.624, 5

Cell and atoms:
```
48
Lattice="-8.8374 8.9116 8.8607 8.8374 -8.9116 8.8607 8.8374 8.9116 -8.8607" Properties=species:S:1:pos:R:3 pbc="T T T"
Si 0.0000 0.9842 0.6444
Si -1.4118 3.0447 2.1864
Si 1.4118 3.0447 2.1864
Si -1.4118 5.8668 2.1864
Si 1.4118 5.8668 2.1864
Si -3.4487 4.4558 3.7691
Si 3.4487 4.4558 3.7691
Si 0.0000 7.9273 0.6444
Si 8.8374 0.9842 8.2163
Si 5.3887 4.4558 5.0916
Si 12.2862 4.4558 5.0916
Si 7.4256 3.0447 6.6743
Si 10.2492 3.0447 6.6743
Si 7.4256 5.8668 6.6743
Si 10.2492 5.8668 6.6743
Si 8.8374 7.9273 8.2163
O 8.8374 8.2561 -7.8776
O 1.3484 1.7582 1.1770
O 7.4890 -7.1534 10.0377
O 1.4639 4.4558 1.3311
O 7.3735 -4.4558 10.1919
O 0.0000 2.9911 3.0417
O -2.7005 3.1074 3.1923
O 2.7005 3.1074 3.1923
O 8.8374 -0.6555 7.8776
O 5.0963 4.4558 3.4801
O 12.5785 4.4558 3.4801
O 1.3484 7.1534 1.1770
O 7.4890 -1.7582 10.0377
O 6.1369 3.1074 5.6684
O 11.5379 3.1074 5.6684
O 8.8374 2.9911 5.8190
O 0.0000 5.9205 3.0417
O -2.7005 5.8041 3.1923
O 2.7005 5.8041 3.1923
O 1.3484 10.6697 -1.1770
O 7.4890 1.7582 7.6837
O -3.7411 4.4558 5.3806
O 3.7411 4.4558 5.3806
O 0.0000 9.5670 0.9831
O 6.1369 5.8041 5.6684
O 11.5379 5.8041 5.6684
O 8.8374 5.9205 5.8190
O 1.4639 13.3674 -1.3311
O 7.3735 4.4558 7.5296
O 1.3484 16.0650 -1.1770
O 7.4890 7.1534 7.6837
O 0.0000 0.6555 16.7383
```

---

Record 3
UCoSe3: simulated powder X-ray diffraction pattern (Cu Kα (λ = 1.5418 Å)), based on a DFT-relaxed cell (GGA-PBE, the Materials Project).
Intensities are scaled so that the largest is 100.

Principal peaks in the range 10° ≤ 2θ ≤ 90°, low angle first:
2theta, d [Å], I (rel.)
21.37, 4.159, 89
26.81, 3.325, 32
27.56, 3.236, 42
32.93, 2.720, 78
35.20, 2.549, 70
35.72, 2.513, 71
37.39, 2.405, 60
39.37, 2.289, 45
39.66, 2.273, 28
40.44, 2.230, 100

Cell and atoms:
```
20
Lattice="7.1655 0.0000 0.0000 0.0000 8.9231 0.0000 0.0000 0.0000 6.2280" Properties=species:S:1:pos:R:3 pbc="T T T"
U 0.9461 2.2308 0.4515
U 2.6367 6.6923 3.5655
U 4.5289 2.2308 2.6625
U 6.2195 6.6923 5.7766
Co 0.0000 0.0000 3.1140
Co 0.0000 4.4615 3.1140
Co 3.5828 0.0000 0.0000
Co 3.5828 4.4615 0.0000
Se 0.2604 6.6923 2.1567
Se 1.2864 4.9166 5.2571
Se 1.2864 8.4681 5.2571
Se 2.2964 0.4550 2.1431
Se 2.2964 4.0065 2.1431
Se 3.3224 2.2308 5.2707
Se 3.8431 6.6923 0.9573
Se 4.8691 4.9166 4.0850
Se 4.8691 8.4681 4.0850
Se 5.8792 0.4550 0.9710
Se 5.8792 4.0065 0.9710
Se 6.9052 2.2308 4.0713
```

---

Record 4
LiNd2Si2: simulated powder X-ray diffraction pattern (Cu Kα (λ = 1.5418 Å)), based on a DFT-relaxed cell (GGA-PBE, the Materials Project).
Intensities are scaled so that the largest is 100.

Principal peaks in the range 10° ≤ 2θ ≤ 90°, low angle first:
2theta, d [Å], I (rel.)
16.81, 5.274, 17
20.84, 4.263, 38
23.86, 3.729, 34
26.73, 3.336, 44
31.88, 2.807, 43
34.13, 2.627, 100
50.45, 1.809, 21
50.83, 1.796, 15
55.15, 1.665, 28
67.97, 1.379, 17

Cell and atoms:
```
10
Lattice="7.4584 0.0000 0.0000 0.0000 7.4584 0.0000 0.0000 0.0000 4.2633" Properties=species:S:1:pos:R:3 pbc="T T T"
Li 0.0000 0.0000 0.0000
Li 3.7292 3.7292 0.0000
Nd 1.3515 2.3777 2.1316
Nd 2.3777 6.1070 2.1316
Nd 5.0807 1.3515 2.1316
Nd 6.1070 5.0807 2.1316
Si 0.8518 4.5810 0.0000
Si 2.8775 0.8518 0.0000
Si 4.5810 6.6067 0.0000
Si 6.6067 2.8775 0.0000
```

---

Record 5
MgNb2: simulated powder X-ray diffraction pattern (Cu Kα (λ = 1.5418 Å)), based on a DFT-relaxed cell (GGA-PBE, the Materials Project).
Intensities are scaled so that the largest is 100.

Principal peaks in the range 10° ≤ 2θ ≤ 90°, low angle first:
2theta, d [Å], I (rel.)
11.36, 7.791, 100
34.54, 2.597, 68
36.37, 2.470, 88
38.82, 2.320, 92
40.58, 2.223, 81
44.99, 2.015, 48
56.59, 1.626, 24
63.50, 1.465, 21
63.79, 1.459, 32
74.61, 1.272, 40

Cell and atoms:
```
3
Lattice="1.4591 0.8424 7.7913 -1.4591 0.8424 7.7913 0.0000 -1.6848 7.7913" Properties=species:S:1:pos:R:3 pbc="T T T"
Mg 0.0000 0.0000 0.0000
Nb 0.0000 0.0000 5.1924
Nb 0.0000 0.0000 18.1816
```

---

Number 1 is which compound? CsGeI3